# AcPr10Dy6
Computed powder X-ray diffraction pattern, Cu Kα (λ = 1.5418 Å). Input: DFT lattice parameters and positions (GGA-PBE).

Peak list (8 most intense, 10° ≤ 2θ ≤ 90°, low angle first)
- 3.681 Å, 24.2°, I 12
- 2.963 Å, 30.2°, I 33
- 2.883 Å, 31.0°, I 83
- 2.869 Å, 31.2°, I 100
- 2.034 Å, 44.6°, I 28
- 1.909 Å, 47.6°, I 13
- 1.662 Å, 55.3°, I 31
- 1.654 Å, 55.6°, I 19

Cell and atoms:
```
AcPr10Dy6
1.0
9.9857 0.0000 0.0000
-4.9929 8.6479 0.0000
0.0000 0.0000 7.0128
Ac Pr Dy
1 10 6
direct
0.0000 0.0000 0.0000
0.0000 0.2827 0.6730
0.0000 0.7173 0.3270
0.2827 0.0000 0.6730
0.2827 0.2827 0.3270
0.3333 0.6667 0.0000
0.3333 0.6667 0.5000
0.6667 0.3333 0.0000
0.6667 0.3333 0.5000
0.7173 0.0000 0.3270
0.7173 0.7173 0.6730
0.0000 0.3686 0.1836
0.0000 0.6314 0.8164
0.3686 0.0000 0.1836
0.3686 0.3686 0.8164
0.6314 0.0000 0.8164
0.6314 0.6314 0.1836
```



# AcPr3Dy8
Computed powder X-ray diffraction pattern, Cu Kα (λ = 1.5418 Å). Input: DFT lattice parameters and positions (GGA-PBE).

Peak list (8 most intense, 10° ≤ 2θ ≤ 90°, low angle first)
- 3.184 Å, 28.0°, I 24
- 2.900 Å, 30.8°, I 25
- 2.791 Å, 32.1°, I 100
- 2.144 Å, 42.1°, I 16
- 1.838 Å, 49.6°, I 20
- 1.653 Å, 55.6°, I 21
- 1.553 Å, 59.5°, I 23
- 1.535 Å, 60.3°, I 16

Cell and atoms:
```
AcPr3Dy8
1.0
7.9975 -3.1843 0.0000
7.9975 3.1843 0.0000
-7.5941 0.0000 7.9988
Ac Pr Dy
1 3 8
direct
0.0000 0.0000 0.0000
0.0914 0.4042 0.7479
0.4998 0.5002 0.5000
0.5958 0.9086 0.2521
0.0063 0.9935 0.3329
0.0065 0.9937 0.6671
0.0856 0.4185 0.0819
0.0859 0.4189 0.4224
0.5074 0.4930 0.1710
0.5070 0.4926 0.8290
0.5811 0.9141 0.5776
0.5815 0.9144 0.9181
```



# Ac2Pr4Dy7
Computed powder X-ray diffraction pattern, Cu Kα (λ = 1.5418 Å). Input: DFT lattice parameters and positions (GGA-PBE).

Peak list (8 most intense, 10° ≤ 2θ ≤ 90°, low angle first)
- 3.410 Å, 26.1°, I 21
- 3.126 Å, 28.6°, I 15
- 3.047 Å, 29.3°, I 38
- 2.842 Å, 31.5°, I 100
- 2.728 Å, 32.8°, I 15
- 2.576 Å, 34.8°, I 36
- 1.838 Å, 49.6°, I 19
- 1.805 Å, 50.6°, I 29

Cell and atoms:
```
Ac2Pr4Dy7
1.0
6.2519 0.0000 0.0000
-3.1259 5.4143 0.0000
0.0000 0.0000 13.6393
Ac Pr Dy
2 4 7
direct
0.3333 0.6667 0.0000
0.6667 0.3333 0.0000
0.0000 0.0000 0.3925
0.0000 0.0000 0.6075
0.3333 0.6667 0.5000
0.6667 0.3333 0.5000
0.0000 0.0000 0.0000
0.0000 0.3535 0.7839
0.0000 0.6465 0.2161
0.3535 0.0000 0.7839
0.3535 0.3535 0.2161
0.6465 0.0000 0.2161
0.6465 0.6465 0.7839
```



# Ac6Pr2Dy3
Computed powder X-ray diffraction pattern, Cu Kα (λ = 1.5418 Å). Input: DFT lattice parameters and positions (GGA-PBE).

Peak list (8 most intense, 10° ≤ 2θ ≤ 90°, low angle first)
- 5.982 Å, 14.8°, I 11
- 3.108 Å, 28.7°, I 100
- 2.991 Å, 29.9°, I 30
- 2.677 Å, 33.5°, I 23
- 2.660 Å, 33.7°, I 44
- 1.914 Å, 47.5°, I 17
- 1.860 Å, 49.0°, I 16
- 1.609 Å, 57.3°, I 20

Cell and atoms:
```
Ac6Pr2Dy3
1.0
3.3181 -5.7314 0.0000
3.3181 5.7314 0.0000
-2.1288 0.0000 11.9633
Ac Pr Dy
6 2 3
direct
0.0866 0.4186 0.7520
0.2454 0.2454 0.2510
0.4186 0.0866 0.7520
0.5814 0.9134 0.2480
0.7546 0.7546 0.7490
0.9134 0.5814 0.2480
0.3313 0.6687 0.5000
0.6687 0.3313 0.5000
0.1659 0.8341 0.0000
0.5000 0.5000 0.0000
0.8341 0.1659 0.0000
```



Q: Which formula does entry 1 have?
A: AcPr10Dy6



What did the third record say?
# Ac2Pr4Dy7
Computed powder X-ray diffraction pattern, Cu Kα (λ = 1.5418 Å). Input: DFT lattice parameters and positions (GGA-PBE).

Peak list (8 most intense, 10° ≤ 2θ ≤ 90°, low angle first)
- 3.410 Å, 26.1°, I 21
- 3.126 Å, 28.6°, I 15
- 3.047 Å, 29.3°, I 38
- 2.842 Å, 31.5°, I 100
- 2.728 Å, 32.8°, I 15
- 2.576 Å, 34.8°, I 36
- 1.838 Å, 49.6°, I 19
- 1.805 Å, 50.6°, I 29

Cell and atoms:
```
Ac2Pr4Dy7
1.0
6.2519 0.0000 0.0000
-3.1259 5.4143 0.0000
0.0000 0.0000 13.6393
Ac Pr Dy
2 4 7
direct
0.3333 0.6667 0.0000
0.6667 0.3333 0.0000
0.0000 0.0000 0.3925
0.0000 0.0000 0.6075
0.3333 0.6667 0.5000
0.6667 0.3333 0.5000
0.0000 0.0000 0.0000
0.0000 0.3535 0.7839
0.0000 0.6465 0.2161
0.3535 0.0000 0.7839
0.3535 0.3535 0.2161
0.6465 0.0000 0.2161
0.6465 0.6465 0.7839
```



Copy entry 2 word for word.
# AcPr3Dy8
Computed powder X-ray diffraction pattern, Cu Kα (λ = 1.5418 Å). Input: DFT lattice parameters and positions (GGA-PBE).

Peak list (8 most intense, 10° ≤ 2θ ≤ 90°, low angle first)
- 3.184 Å, 28.0°, I 24
- 2.900 Å, 30.8°, I 25
- 2.791 Å, 32.1°, I 100
- 2.144 Å, 42.1°, I 16
- 1.838 Å, 49.6°, I 20
- 1.653 Å, 55.6°, I 21
- 1.553 Å, 59.5°, I 23
- 1.535 Å, 60.3°, I 16

Cell and atoms:
```
AcPr3Dy8
1.0
7.9975 -3.1843 0.0000
7.9975 3.1843 0.0000
-7.5941 0.0000 7.9988
Ac Pr Dy
1 3 8
direct
0.0000 0.0000 0.0000
0.0914 0.4042 0.7479
0.4998 0.5002 0.5000
0.5958 0.9086 0.2521
0.0063 0.9935 0.3329
0.0065 0.9937 0.6671
0.0856 0.4185 0.0819
0.0859 0.4189 0.4224
0.5074 0.4930 0.1710
0.5070 0.4926 0.8290
0.5811 0.9141 0.5776
0.5815 0.9144 0.9181
```